For Li2TiMn2O5, DFT lattice parameters and positions (PBE+U) gives the computed powder XRD pattern in this record (Cu Kα (weighted mean of Kα1 and Kα2)).
Kinematic intensities with the Lorentz-polarization factor, no thermal factor.

Peak list (6 most intense, 2θ from 5° to 70°, in order of rising 2θ)
2θ (°)	I_rel
21.34	61
25.23	50
35.89	35
39.80	59
42.67	100
59.65	29

Structural model:
Lattice parameters (Å, degrees): 7.977 7.977 5.441 97.66 97.66 140.31
Positions (direct):
Li1 0.000 0.000 0.000
Li2 0.305 0.695 0.500
Li3 0.600 0.400 0.000
Li4 0.903 0.097 0.500
Ti1 0.101 0.899 0.500
Ti2 0.406 0.594 0.000
Mn1 0.200 0.800 0.000
Mn2 0.498 0.502 0.500
Mn3 0.708 0.292 0.500
Mn4 0.803 0.197 0.000
O1 0.066 0.445 0.763
O2 0.185 0.382 0.215
O3 0.251 0.247 0.750
O4 0.320 0.118 0.282
O5 0.433 0.048 0.737
O6 0.555 0.934 0.237
O7 0.618 0.815 0.785
O8 0.753 0.749 0.250
O9 0.882 0.680 0.718
O10 0.952 0.567 0.263